For La4Pr5In, the PBE geometry in Alexandria gives the computed powder X-ray diffraction pattern in this record (λ = 1.5418 Å (Cu Kα)).
Peak positions follow from Bragg's law for the DFT cell and can differ from measured ones.

The 8 most intense peaks (2θ from 10° to 90°), low angle first:
| 2theta | I/Imax | index |
| --- | --- | --- |
| 28.5 | 100.0 | 3 0 1 |
| 28.8 | 16.6 | 0 0 2 |
| 32.9 | 22.3 | 4 0 0 |
| 33.3 | 20.2 | 2 0 2 |
| 35.0 | 39.1 | 3 3 0 |
| 50.9 | 17.5 | 3 0 3 |
| 57.6 | 14.1 | 5 3 2 |
| 58.8 | 14.2 | 6 3 1 |

Atomic structure:
a b c (Å): 10.8918 10.8918 6.1958
angles (deg): 90.00 90.00 90.00
Space group I4mm (No. 107)
Unique sites:
1 La 0.0000 0.3066 0.0000
2 Pr 0.0000 0.0000 0.7850
3 Pr 0.1870 0.1870 0.5021
4 In 0.0000 0.0000 0.2667